[1]
Computed powder XRD pattern
Compound: Y7CoS5
Radiation: CuKα
Structure: a GGA-PBE-relaxed structure
Intensities are scaled so that the largest is 100.

Atomic structure:
abc: 12.9021 3.8342 23.5277
angles: 90.00 90.02 90.00
Space group Cm (No. 8)
Symmetry-distinct sites (fractional):
1 Y 0.0000 0.0000 0.0000 [2 per cell]
2 Y 0.0002 0.0000 0.1409 [2 per cell]
3 Y 0.0590 0.5000 0.2838 [2 per cell]
4 Y 0.0587 0.5000 0.8571 [2 per cell]
5 Y 0.1082 0.0000 0.7080 [2 per cell]
6 Y 0.1089 0.0000 0.4325 [2 per cell]
7 Y 0.1544 0.5000 0.5704 [2 per cell]
8 Y 0.2411 0.5000 0.0704 [2 per cell]
9 Y 0.2871 0.0000 0.2081 [2 per cell]
10 Y 0.2868 0.0000 0.9326 [2 per cell]
11 Y 0.3364 0.5000 0.7838 [2 per cell]
12 Y 0.3369 0.5000 0.3572 [2 per cell]
13 Y 0.3952 0.0000 0.6409 [2 per cell]
14 Y 0.3956 0.0000 0.5000 [2 per cell]
15 Co 0.0042 0.0000 0.5709 [2 per cell]
16 Co 0.3913 0.0000 0.0706 [2 per cell]
17 S 0.1449 0.5000 0.1781 [2 per cell]
18 S 0.1447 0.5000 0.9629 [2 per cell]
19 S 0.1975 0.0000 0.8204 [2 per cell]
20 S 0.1980 0.0000 0.3204 [2 per cell]
21 S 0.2505 0.5000 0.6781 [2 per cell]
22 S 0.2509 0.5000 0.4629 [2 per cell]
23 S 0.4211 0.5000 0.2493 [2 per cell]
24 S 0.4208 0.5000 0.8917 [2 per cell]
25 S 0.4743 0.0000 0.7493 [2 per cell]
26 S 0.4748 0.0000 0.3917 [2 per cell]

Main lines, in order of falling intensity (15 to 90 degrees two-theta):
2θ/deg, I/Imax, index
29.98, 100.0, 2 0 7
32.19, 97.2, 3 1 2
33.33, 70.2, 3 1 -3
28.66, 44.9, 1 1 -4
47.42, 34.4, 0 2 0
33.49, 32.9, 2 0 8

=====

[2]
Computed powder XRD pattern
Compound: Mg3Cd7
Radiation: CuKα
Structure: a GGA-PBE-relaxed structure
Intensities are scaled so that the largest is 100.

Atomic structure:
abc: 16.3699 4.4405 6.2110
angles: 90.00 102.83 90.00
Space group C2/m (No. 12)
Symmetry-distinct sites (fractional):
1 Mg 0.0000 0.0000 0.0000 [2 per cell]
2 Mg 0.1966 0.0000 0.6025 [4 per cell]
3 Cd 0.0000 0.0000 0.5000 [2 per cell]
4 Cd 0.1006 0.5000 0.8053 [4 per cell]
5 Cd 0.1020 0.5000 0.3042 [4 per cell]
6 Cd 0.2012 0.0000 0.1092 [4 per cell]

Main lines, in order of falling intensity (15 to 90 degrees two-theta):
2θ/deg, I/Imax, index
34.61, 100.0, 5 1 0
35.28, 94.6, 1 1 -2
39.84, 34.8, 6 0 -2
40.63, 31.8, 0 2 0
41.23, 30.2, 4 0 2
58.21, 21.8, 6 2 -2

=====

[3]
Computed powder XRD pattern
Compound: Ta3V2Os
Radiation: CuKα
Structure: a GGA-PBE-relaxed structure
Intensities are scaled so that the largest is 100.

Atomic structure:
abc: 4.5226 13.4283 3.1452
angles: 90.00 90.00 90.00
Space group Cmmm (No. 65)
Symmetry-distinct sites (fractional):
1 Ta 0.0000 0.0000 0.0000 [2 per cell]
2 Ta 0.0000 0.3321 0.0000 [4 per cell]
3 V 0.0000 0.1667 0.5000 [4 per cell]
4 Os 0.0000 0.5000 0.5000 [2 per cell]

Main lines, in order of falling intensity (15 to 90 degrees two-theta):
2θ/deg, I/Imax, index
40.32, 100.0, 1 3 1
39.87, 20.7, 2 0 0
73.29, 20.5, 2 0 2
72.69, 14.5, 3 3 1
57.98, 13.8, 2 6 0
87.14, 11.2, 2 6 2

=====

[4]
Computed powder XRD pattern
Compound: Cd2InHg2
Radiation: CuKα
Structure: a GGA-PBE-relaxed structure
Intensities are scaled so that the largest is 100.

Atomic structure:
abc: 9.6073 7.2325 7.8258
angles: 90.00 110.52 90.00
Space group C2/c (No. 15)
Symmetry-distinct sites (fractional):
1 Cd 0.1237 0.0936 0.4517 [8 per cell]
2 In 0.0000 0.3293 0.7500 [4 per cell]
3 Hg 0.1701 0.3391 0.1596 [8 per cell]

Main lines, in order of falling intensity (15 to 90 degrees two-theta):
2θ/deg, I/Imax, index
31.40, 100.0, 2 2 -1
31.92, 50.6, 1 1 2
36.74, 49.7, 1 1 -3
38.27, 39.5, 3 1 1
30.58, 26.7, 3 1 -1
48.16, 24.1, 1 3 2

=====

[5]
Computed powder XRD pattern
Compound: LaY2
Radiation: CuKα
Structure: a GGA-PBE-relaxed structure
Intensities are scaled so that the largest is 100.

Atomic structure:
abc: 4.1939 4.1939 11.6849
angles: 90.00 90.00 90.00
Space group I4/mmm (No. 139)
Symmetry-distinct sites (fractional):
1 La 0.0000 0.0000 0.0000 [2 per cell]
2 Y 0.0000 0.0000 0.3261 [4 per cell]

Main lines, in order of falling intensity (15 to 90 degrees two-theta):
2θ/deg, I/Imax, index
31.34, 100.0, 1 0 3
30.14, 56.1, 1 1 0
54.29, 41.2, 2 1 3
43.14, 20.7, 2 0 0
56.53, 17.6, 1 1 6
65.40, 11.2, 2 0 6

=====

[6]
Computed powder XRD pattern
Compound: SmDyCdAg
Radiation: CuKα
Structure: a GGA-PBE-relaxed structure
Intensities are scaled so that the largest is 100.

Atomic structure:
abc: 3.7102 3.7102 7.5069
angles: 90.00 90.00 90.00
Space group P4mm (No. 99)
Symmetry-distinct sites (fractional):
1 Sm 0.0000 0.0000 0.0000 [1 per cell]
2 Dy 0.0000 0.0000 0.4840 [1 per cell]
3 Cd 0.5000 0.5000 0.7348 [1 per cell]
4 Ag 0.5000 0.5000 0.2556 [1 per cell]

Main lines, in order of falling intensity (15 to 90 degrees two-theta):
2θ/deg, I/Imax, index
33.98, 100.0, 1 0 2
34.18, 49.9, 1 1 0
61.06, 35.8, 2 1 2
49.11, 17.7, 2 0 0
60.67, 17.5, 1 1 4
71.51, 10.7, 2 0 4

=====

[7]
Computed powder XRD pattern
Compound: Ni6W6C
Radiation: CuKα
Structure: a GGA-PBE-relaxed structure
Intensities are scaled so that the largest is 100.

Atomic structure:
abc: 10.9269 10.9269 10.9269
angles: 90.00 90.00 90.00
Space group Fd-3m (No. 227, origin choice 2)
Symmetry-distinct sites (fractional):
1 Ni 0.0000 0.0000 0.0000 [16 per cell]
2 Ni 0.0412 0.0412 0.2088 [32 per cell]
3 W 0.0745 0.3750 0.8750 [48 per cell]
4 C 0.1250 0.1250 0.6250 [8 per cell]

Main lines, in order of falling intensity (15 to 90 degrees two-theta):
2θ/deg, I/Imax, index
43.01, 100.0, 3 3 3
40.44, 51.2, 4 2 2
73.55, 42.4, 8 2 2
47.04, 41.0, 4 4 0
32.78, 30.2, 4 0 0
35.82, 26.2, 3 3 1

=====

[8]
Computed powder XRD pattern
Compound: TlP2Br6
Radiation: CuKα
Structure: a GGA-PBE-relaxed structure
Intensities are scaled so that the largest is 100.

Atomic structure:
abc: 7.9472 7.9472 19.9291
angles: 90.00 90.00 120.00
Space group R3 (No. 146, hexagonal axes)
Symmetry-distinct sites (fractional):
1 Tl 0.0000 0.0000 0.0000 [3 per cell]
2 P 0.0000 0.0000 0.2174 [3 per cell]
3 P 0.0000 0.0000 0.3383 [3 per cell]
4 Br 0.0099 0.5889 0.5526 [9 per cell]
5 Br 0.0192 0.4421 0.0417 [9 per cell]

Main lines, in order of falling intensity (15 to 90 degrees two-theta):
2θ/deg, I/Imax, index
26.13, 100.0, 2 -1 3
27.42, 84.8, 2 0 2
31.60, 56.3, 0 2 4
47.85, 41.8, 4 -3 1
35.22, 35.8, 2 -1 6
26.84, 35.8, 0 0 6

=====

[9]
Computed powder XRD pattern
Compound: CeHo6Th3
Radiation: CuKα
Structure: a GGA-PBE-relaxed structure
Intensities are scaled so that the largest is 100.

Atomic structure:
abc: 9.8055 9.8055 11.7678
angles: 90.00 90.00 120.00
Space group R3 (No. 146, hexagonal axes)
Symmetry-distinct sites (fractional):
1 Ce 0.0000 0.0000 0.0000 [3 per cell]
2 Ho 0.9996 0.6645 0.5890 [9 per cell]
3 Ho 0.0014 0.3328 0.7472 [9 per cell]
4 Th 0.0000 0.0000 0.2383 [3 per cell]
5 Th 0.0000 0.0000 0.4998 [3 per cell]
6 Th 0.0000 0.0000 0.7609 [3 per cell]

Main lines, in order of falling intensity (15 to 90 degrees two-theta):
2θ/deg, I/Imax, index
31.61, 100.0, 3 0 0
29.16, 58.7, 1 1 3
54.79, 20.3, 4 1 3
43.54, 19.9, 4 -2 3
56.29, 19.9, 3 3 0
32.20, 18.9, 1 0 4

=====

[10]
Computed powder XRD pattern
Compound: Ba3Ga2S6
Radiation: CuKα
Structure: a GGA-PBE-relaxed structure
Intensities are scaled so that the largest is 100.

Atomic structure:
abc: 9.1790 14.5890 9.2188
angles: 90.00 91.63 90.00
Space group C2/c (No. 15)
Symmetry-distinct sites (fractional):
1 Ba 0.0000 0.0349 0.2500 [4 per cell]
2 Ba 0.0967 0.3626 0.0089 [8 per cell]
3 Ga 0.1828 0.1632 0.5679 [8 per cell]
4 S 0.0609 0.1415 0.9600 [8 per cell]
5 S 0.1806 0.4504 0.3317 [8 per cell]
6 S 0.2205 0.3085 0.6648 [8 per cell]

Main lines, in order of falling intensity (15 to 90 degrees two-theta):
2θ/deg, I/Imax, index
31.28, 100.0, 0 4 2
24.66, 91.1, 2 2 -1
22.85, 76.4, 0 2 2
22.68, 72.8, 1 1 2
31.69, 68.5, 3 1 1
43.41, 45.1, 2 0 -4

=====

[11]
Computed powder XRD pattern
Compound: MgSc7Ag4
Radiation: CuKα
Structure: a GGA-PBE-relaxed structure
Intensities are scaled so that the largest is 100.

Atomic structure:
abc: 13.6375 5.2765 8.7871
angles: 90.00 122.36 90.00
Space group C2/m (No. 12)
Symmetry-distinct sites (fractional):
1 Mg 0.0000 0.0000 0.0000 [2 per cell]
2 Sc 0.0000 0.5000 0.0000 [2 per cell]
3 Sc 0.0743 0.0000 0.4183 [4 per cell]
4 Sc 0.1971 0.0000 0.8819 [4 per cell]
5 Sc 0.2360 0.5000 0.6957 [4 per cell]
6 Ag 0.0422 0.5000 0.7095 [4 per cell]
7 Ag 0.1868 0.5000 0.3427 [4 per cell]

Main lines, in order of falling intensity (15 to 90 degrees two-theta):
2θ/deg, I/Imax, index
33.98, 100.0, 0 2 0
38.17, 94.7, 5 1 -1
18.50, 70.1, 1 1 0
36.98, 47.6, 1 1 -3
35.86, 42.1, 3 1 1
40.32, 41.1, 5 1 -3

=====

[12]
Computed powder XRD pattern
Compound: NpPaCu2O8
Radiation: CuKα
Structure: a GGA-PBE-relaxed structure
Intensities are scaled so that the largest is 100.

Atomic structure:
abc: 6.7144 6.7144 6.9764
angles: 90.00 90.00 90.00
Space group I-4m2 (No. 119)
Symmetry-distinct sites (fractional):
1 Np 0.0000 0.0000 0.0000 [2 per cell]
2 Pa 0.0000 0.5000 0.2500 [2 per cell]
3 Cu 0.0000 0.0000 0.5000 [2 per cell]
4 Cu 0.0000 0.5000 0.7500 [2 per cell]
5 O 0.0000 0.1874 0.2985 [8 per cell]
6 O 0.0000 0.2964 0.9499 [8 per cell]

Main lines, in order of falling intensity (15 to 90 degrees two-theta):
2θ/deg, I/Imax, index
31.83, 100.0, 1 1 2
26.55, 95.3, 2 0 0
50.31, 69.3, 3 1 2
18.34, 66.6, 1 0 1
37.90, 24.8, 2 2 0
32.46, 19.6, 2 1 1

=====

Please write out number 2 again, unchanged.
Computed powder XRD pattern
Compound: Mg3Cd7
Radiation: CuKα
Structure: a GGA-PBE-relaxed structure
Intensities are scaled so that the largest is 100.

Atomic structure:
abc: 16.3699 4.4405 6.2110
angles: 90.00 102.83 90.00
Space group C2/m (No. 12)
Symmetry-distinct sites (fractional):
1 Mg 0.0000 0.0000 0.0000 [2 per cell]
2 Mg 0.1966 0.0000 0.6025 [4 per cell]
3 Cd 0.0000 0.0000 0.5000 [2 per cell]
4 Cd 0.1006 0.5000 0.8053 [4 per cell]
5 Cd 0.1020 0.5000 0.3042 [4 per cell]
6 Cd 0.2012 0.0000 0.1092 [4 per cell]

Main lines, in order of falling intensity (15 to 90 degrees two-theta):
2θ/deg, I/Imax, index
34.61, 100.0, 5 1 0
35.28, 94.6, 1 1 -2
39.84, 34.8, 6 0 -2
40.63, 31.8, 0 2 0
41.23, 30.2, 4 0 2
58.21, 21.8, 6 2 -2